Structure and calculated powder diffraction line list of HoEr3Tl2 (a crystal structure in Alexandria, relaxed with PBE; copper Kα).

Largest 10 diffraction maxima, by intensity, 15° ≤ 2θ ≤ 90°:
2θ = 33.3°, intensity 100; 2θ = 33.6°, intensity 25; 2θ = 32.2°, intensity 24; 2θ = 59.8°, intensity 19; 2θ = 47.2°, intensity 17; 2θ = 58.1°, intensity 15; 2θ = 69.8°, intensity 11; 2θ = 60.1°, intensity 10; 2θ = 48.3°, intensity 9; 2θ = 59.2°, intensity 9

Structure:
Cell lengths 8.7586, 8.7586, 3.7689 Å; angles 90.00, 90.00, 144.52 degrees
Sites, in units of the cell vectors:
Ho 0.0000 0.0000 0.0000
Er 0.1778 0.8222 0.5000
Er 0.5000 0.5000 0.5000
Er 0.8222 0.1778 0.5000
Tl 0.3466 0.6534 0.0000
Tl 0.6534 0.3466 0.0000